Starting from DFT lattice parameters and positions (PBE+U), the PXRD pattern of Li4TiFe5O12 was simulated for Cu Kα.
Peak positions follow from Bragg's law for the DFT cell and can differ from measured ones.

Principal peaks in the range 10 to 90 degrees two-theta, by angle:
2θ = 17.48°, intensity 100, (0 0 2)
2θ = 35.92°, intensity 15, (1 3 -1)
2θ = 37.07°, intensity 13, (1 3 1)
2θ = 43.16°, intensity 17, (1 3 -3)
2θ = 46.08°, intensity 19, (1 3 3)
2θ = 56.17°, intensity 11, (1 3 -5)

Structure:
abc: 5.2224 8.7350 10.2362
angles: 90.00 97.59 90.00
Space group C2/m (No. 12)
Unique sites:
Li: 0.1263 0.1833 0.2582
Ti: 0.0000 0.0000 0.5000
Fe: 0.0000 0.1673 0.0000
Fe: 0.0000 0.3348 0.5000
Fe: 0.0000 0.5000 0.0000
O: 0.1276 0.0000 0.8960
O: 0.1328 0.3277 0.8905
O: 0.1664 0.1706 0.6081
O: 0.1981 0.5000 0.5992